1.
Sr2PaCuO6: computed powder XRD pattern (Cu Kα X-rays), based on a crystal structure in Alexandria, relaxed with PBE.

Cell and atoms:
Unit cell a=4.2419 b=4.2419 c=8.1799 alpha=90.00 beta=90.00 gamma=90.00
Fractional coordinates of all 10 atoms:
Sr: 0.0000 0.0000 0.1967
Sr: 0.0000 0.0000 0.8033
Pa: 0.5000 0.5000 0.5000
Cu: 0.5000 0.5000 0.0000
O: 0.0000 0.5000 0.0000
O: 0.0000 0.5000 0.5000
O: 0.5000 0.0000 0.0000
O: 0.5000 0.0000 0.5000
O: 0.5000 0.5000 0.2372
O: 0.5000 0.5000 0.7628

Peak list (10 most intense, 2θ = 10–90°, most intense first)
d 2.944, rel. 100
d 2.999, rel. 63
d 3.766, rel. 51
d 1.721, rel. 43
d 2.121, rel. 40
d 2.018, rel. 21
d 4.242, rel. 18
d 1.848, rel. 15
d 8.180, rel. 13
d 1.472, rel. 13

=====

2.
PaTlCuO5: computed powder XRD pattern (Cu Kα X-rays), based on a crystal structure in Alexandria, relaxed with PBE.

Cell and atoms:
Unit cell a=5.8685 b=5.8685 c=8.5324 alpha=102.47 beta=102.47 gamma=104.80
Fractional coordinates of all 16 atoms:
Pa: 0.0000 0.0000 0.0000
Pa: 0.0000 0.0000 0.5000
Tl: 0.3247 0.6753 0.7500
Tl: 0.6753 0.3247 0.2500
Cu: 0.3427 0.6573 0.2500
Cu: 0.6573 0.3427 0.7500
O: 0.1012 0.8988 0.7500
O: 0.1999 0.7912 0.4172
O: 0.2088 0.8001 0.0828
O: 0.3316 0.3427 0.1080
O: 0.3427 0.3316 0.6080
O: 0.6573 0.6684 0.3920
O: 0.6684 0.6573 0.8920
O: 0.7912 0.1999 0.9172
O: 0.8001 0.2088 0.5828
O: 0.8988 0.1012 0.2500

Peak list (10 most intense, 2θ = 10–90°, most intense first)
d 3.775, rel. 100
d 3.349, rel. 76
d 2.813, rel. 67
d 3.028, rel. 53
d 2.850, rel. 35
d 1.995, rel. 33
d 2.624, rel. 29
d 1.812, rel. 24
d 2.261, rel. 24
d 1.755, rel. 24

=====

3.
Pa3TlCu4O12: computed powder XRD pattern (Cu Kα X-rays), based on a crystal structure in Alexandria, relaxed with PBE.

Cell and atoms:
Unit cell a=7.0602 b=7.0602 c=7.0602 alpha=105.75 beta=105.75 gamma=105.75
Fractional coordinates of all 20 atoms:
Pa: 0.0000 0.5518 0.4482
Pa: 0.4482 0.0000 0.5518
Pa: 0.5518 0.4482 0.0000
Tl: 0.0000 0.0000 0.0000
Cu: 0.0726 0.5000 0.9274
Cu: 0.5000 0.5000 0.5000
Cu: 0.5000 0.9274 0.0726
Cu: 0.9274 0.0726 0.5000
O: 0.0098 0.6639 0.7723
O: 0.1067 0.8933 0.5000
O: 0.2277 0.3361 0.9902
O: 0.3349 0.6651 0.5000
O: 0.3361 0.9902 0.2277
O: 0.5000 0.1067 0.8933
O: 0.5000 0.3349 0.6651
O: 0.6639 0.7723 0.0098
O: 0.6651 0.5000 0.3349
O: 0.7723 0.0098 0.6639
O: 0.8933 0.5000 0.1067
O: 0.9902 0.2277 0.3361

Peak list (10 most intense, 2θ = 10–90°, most intense first)
d 3.153, rel. 100
d 4.199, rel. 59
d 2.815, rel. 34
d 2.570, rel. 33
d 3.366, rel. 31
d 1.969, rel. 26
d 1.903, rel. 24
d 1.684, rel. 18
d 1.561, rel. 16
d 5.629, rel. 15